[1]
Starting from a cell relaxed with PBE, the powder diffraction line list of HAu3N was calculated for Cu Kα, 1.54184 Å.
No peak broadening, texture or thermal motion is included.

Largest 10 diffraction maxima, low angle first, 2θ = 15–90°:
2θ (°)	d_spacing	intensity
21.63	4.109	28
30.78	2.905	23
37.93	2.372	100
44.08	2.054	50
49.61	1.837	13
54.72	1.677	10
64.10	1.453	33
68.51	1.370	7
76.97	1.239	39
81.08	1.186	12

Atomic structure:
```
data_HAu3N
_space_group_name_H-M_alt 'P m -3 m'
_space_group_IT_number 221
_space_group_name_Hall '-P 4 2 3'
_cell_length_a 4.1087
_cell_length_b 4.1087
_cell_length_c 4.1087
_cell_angle_alpha 90.00
_cell_angle_beta 90.00
_cell_angle_gamma 90.00
loop_
_atom_site_label
_atom_site_type_symbol
_atom_site_fract_x
_atom_site_fract_y
_atom_site_fract_z
_atom_site_occupancy
H1 H 0.0000 0.0000 0.0000 1
Au1 Au 0.0000 0.0000 0.5000 1
N1 N 0.5000 0.5000 0.5000 1
```

=====

[2]
Starting from a cell relaxed with PBE, the powder diffraction line list of H2AuSN was calculated for Cu Kα, 1.54184 Å.
No peak broadening, texture or thermal motion is included.

Largest 10 diffraction maxima, low angle first, 2θ = 15–90°:
2θ (°)	d_spacing	intensity
20.26	4.384	76
21.41	4.150	49
23.21	3.833	100
23.61	3.769	99
26.59	3.353	43
27.80	3.209	78
31.54	2.837	46
34.72	2.584	37
38.93	2.314	25
46.99	1.934	32

Atomic structure:
```
data_H2AuSN
_space_group_name_H-M_alt 'P 1'
_space_group_IT_number 1
_space_group_name_Hall 'P 1'
_cell_length_a 4.0644
_cell_length_b 4.7157
_cell_length_c 4.7618
_cell_angle_alpha 67.10
_cell_angle_beta 80.84
_cell_angle_gamma 70.68
loop_
_atom_site_label
_atom_site_type_symbol
_atom_site_fract_x
_atom_site_fract_y
_atom_site_fract_z
_atom_site_occupancy
H1 H 0.0000 0.0000 0.0000 1
H2 H 0.2256 0.1257 0.1746 1
Au1 Au 0.8457 0.6366 0.7451 1
S1 S 0.6705 0.1467 0.3995 1
N1 N 0.9847 0.1705 0.0905 1
```

=====

[3]
Starting from a cell relaxed with PBE, the powder diffraction line list of Na3H4Au was calculated for Cu Kα, 1.54184 Å.
No peak broadening, texture or thermal motion is included.

Largest 10 diffraction maxima, low angle first, 2θ = 15–90°:
2θ (°)	d_spacing	intensity
18.11	4.898	100
25.72	3.463	87
31.64	2.828	86
36.70	2.449	42
41.22	2.190	51
45.36	1.999	40
52.87	1.732	31
56.36	1.633	27
62.94	1.477	35
72.17	1.309	21

Atomic structure:
```
data_Na3H4Au
_space_group_name_H-M_alt 'P -4 3 m'
_space_group_IT_number 215
_space_group_name_Hall 'P -4 2 3'
_cell_length_a 4.8976
_cell_length_b 4.8976
_cell_length_c 4.8976
_cell_angle_alpha 90.00
_cell_angle_beta 90.00
_cell_angle_gamma 90.00
loop_
_atom_site_label
_atom_site_type_symbol
_atom_site_fract_x
_atom_site_fract_y
_atom_site_fract_z
_atom_site_occupancy
Na1 Na 0.0000 0.0000 0.5000 1
H1 H 0.2882 0.2882 0.7118 1
Au1 Au 0.5000 0.5000 0.5000 1
```

=====

[4]
Starting from a cell relaxed with PBE, the powder diffraction line list of NaH4Au was calculated for Cu Kα, 1.54184 Å.
No peak broadening, texture or thermal motion is included.

Largest 10 diffraction maxima, low angle first, 2θ = 15–90°:
2θ (°)	d_spacing	intensity
21.04	4.222	54
22.24	3.997	94
26.87	3.319	100
28.48	3.134	70
34.34	2.612	53
34.58	2.594	25
41.81	2.161	25
44.22	2.048	26
45.39	1.998	39
55.34	1.660	22

Atomic structure:
```
data_NaH4Au
_space_group_name_H-M_alt 'P 1 2/c 1'
_space_group_IT_number 13
_space_group_name_Hall '-P 2yc'
_cell_length_a 4.5429
_cell_length_b 5.1870
_cell_length_c 6.7488
_cell_angle_alpha 90.00
_cell_angle_beta 111.68
_cell_angle_gamma 90.00
loop_
_atom_site_label
_atom_site_type_symbol
_atom_site_fract_x
_atom_site_fract_y
_atom_site_fract_z
_atom_site_occupancy
Na1 Na 0.0000 0.2491 0.2500 1
H1 H 0.2763 0.0265 0.5960 1
H2 H 0.2767 0.4780 0.5958 1
Au1 Au 0.5000 0.2522 0.7500 1
```

=====

[5]
Starting from a cell relaxed with PBE, the powder diffraction line list of NaH2AuO2 was calculated for Cu Kα, 1.54184 Å.
No peak broadening, texture or thermal motion is included.

Largest 10 diffraction maxima, low angle first, 2θ = 15–90°:
2θ (°)	d_spacing	intensity
20.15	4.406	84
22.64	3.927	39
23.36	3.808	100
27.91	3.196	48
30.62	2.920	57
31.00	2.884	93
31.42	2.847	28
37.48	2.400	53
41.63	2.169	33
45.57	1.991	29

Atomic structure:
```
data_NaH2AuO2
_space_group_name_H-M_alt 'P 1 21/m 1'
_space_group_IT_number 11
_space_group_name_Hall '-P 2yb'
_cell_length_a 4.4069
_cell_length_b 4.6436
_cell_length_c 7.3619
_cell_angle_alpha 90.00
_cell_angle_beta 90.91
_cell_angle_gamma 90.00
loop_
_atom_site_label
_atom_site_type_symbol
_atom_site_fract_x
_atom_site_fract_y
_atom_site_fract_z
_atom_site_occupancy
Na1 Na 0.1983 0.2500 0.1363 1
H1 H 0.3086 0.7500 0.8092 1
H2 H 0.3534 0.2500 0.8434 1
Au1 Au 0.0904 0.2500 0.5936 1
O1 O 0.2840 0.0028 0.8192 1
```

=====

[6]
Starting from a cell relaxed with PBE, the powder diffraction line list of Rb2NaH6Au2 was calculated for Cu Kα, 1.54184 Å.
No peak broadening, texture or thermal motion is included.

Largest 10 diffraction maxima, low angle first, 2θ = 15–90°:
2θ (°)	d_spacing	intensity
17.81	4.981	82
18.03	4.919	30
27.00	3.303	40
30.97	2.888	37
31.21	2.866	77
31.36	2.853	100
36.53	2.460	17
44.64	2.030	36
48.63	1.872	15
55.24	1.663	16

Atomic structure:
```
data_Rb2NaH6Au2
_space_group_name_H-M_alt 'C 1 2/m 1'
_space_group_IT_number 12
_space_group_name_Hall '-C 2y'
_cell_length_a 12.0638
_cell_length_b 5.7755
_cell_length_c 7.0077
_cell_angle_alpha 90.00
_cell_angle_beta 125.36
_cell_angle_gamma 90.00
loop_
_atom_site_label
_atom_site_type_symbol
_atom_site_fract_x
_atom_site_fract_y
_atom_site_fract_z
_atom_site_occupancy
Rb1 Rb 0.2052 0.0000 0.2033 1
Na1 Na 0.0000 0.0000 0.5000 1
H1 H 0.0017 0.2125 0.2392 1
H2 H 0.1333 0.5000 0.1336 1
Au1 Au 0.0020 0.5000 0.2179 1
```

=====

[7]
Starting from a cell relaxed with PBE, the powder diffraction line list of RbNaH2Au was calculated for Cu Kα, 1.54184 Å.
No peak broadening, texture or thermal motion is included.

Largest 10 diffraction maxima, low angle first, 2θ = 15–90°:
2θ (°)	d_spacing	intensity
20.12	4.414	53
20.51	4.330	100
24.25	3.670	46
27.00	3.303	71
28.88	3.091	72
31.97	2.800	81
34.14	2.626	54
39.95	2.257	62
43.22	2.093	38
48.29	1.885	39

Atomic structure:
```
data_RbNaH2Au
_space_group_name_H-M_alt 'C m m e'
_space_group_IT_number 67
_space_group_name_Hall '-C 2a 2'
_cell_length_a 8.6605
_cell_length_b 13.2107
_cell_length_c 4.4141
_cell_angle_alpha 90.00
_cell_angle_beta 90.00
_cell_angle_gamma 90.00
loop_
_atom_site_label
_atom_site_type_symbol
_atom_site_fract_x
_atom_site_fract_y
_atom_site_fract_z
_atom_site_occupancy
Rb1 Rb 0.0000 0.2500 0.2172 1
Na1 Na 0.2500 0.0000 0.5000 1
H1 H 0.0000 0.0847 0.7202 1
Au1 Au 0.0000 0.0000 0.0000 1
```

=====

[8]
Starting from a cell relaxed with PBE, the powder diffraction line list of Na2ZnH6Au was calculated for Cu Kα, 1.54184 Å.
No peak broadening, texture or thermal motion is included.

Largest 10 diffraction maxima, low angle first, 2θ = 15–90°:
2θ (°)	d_spacing	intensity
18.48	4.802	47
20.65	4.302	46
26.19	3.402	42
32.25	2.776	100
37.41	2.404	50
42.01	2.151	23
46.28	1.962	18
53.94	1.700	35
64.22	1.450	27
88.68	1.103	17

Atomic structure:
```
data_Na2ZnH6Au
_space_group_name_H-M_alt 'I 4 m m'
_space_group_IT_number 107
_space_group_name_Hall 'I 4 -2'
_cell_length_a 4.8112
_cell_length_b 4.8112
_cell_length_c 9.6033
_cell_angle_alpha 90.00
_cell_angle_beta 90.00
_cell_angle_gamma 90.00
loop_
_atom_site_label
_atom_site_type_symbol
_atom_site_fract_x
_atom_site_fract_y
_atom_site_fract_z
_atom_site_occupancy
Na1 Na 0.0000 0.5000 0.0000 1
Zn1 Zn 0.0000 0.0000 0.2607 1
H1 H 0.0000 0.0000 0.4309 1
H2 H 0.0000 0.0000 0.9399 1
H3 H 0.2489 0.2489 0.2009 1
Au1 Au 0.0000 0.0000 0.7499 1
```

=====

[9]
Starting from a cell relaxed with PBE, the powder diffraction line list of NbHAu was calculated for Cu Kα, 1.54184 Å.
No peak broadening, texture or thermal motion is included.

Largest 10 diffraction maxima, low angle first, 2θ = 15–90°:
2θ (°)	d_spacing	intensity
20.20	4.396	11
31.79	2.815	34
37.96	2.371	100
41.06	2.198	17
52.84	1.732	17
56.64	1.625	20
70.22	1.340	17
72.31	1.307	19
72.75	1.300	15
81.15	1.185	5

Atomic structure:
```
data_NbHAu
_space_group_name_H-M_alt 'P -6 m 2'
_space_group_IT_number 187
_space_group_name_Hall 'P -6 2'
_cell_length_a 3.2503
_cell_length_b 3.2503
_cell_length_c 4.3963
_cell_angle_alpha 90.00
_cell_angle_beta 90.00
_cell_angle_gamma 120.00
loop_
_atom_site_label
_atom_site_type_symbol
_atom_site_fract_x
_atom_site_fract_y
_atom_site_fract_z
_atom_site_occupancy
Nb1 Nb 0.0000 0.0000 0.0000 1
H1 H 0.3333 0.6667 0.0000 1
Au1 Au 0.6667 0.3333 0.5000 1
```

=====

[10]
Starting from a cell relaxed with PBE, the powder diffraction line list of NbTeH2Au was calculated for Cu Kα, 1.54184 Å.
No peak broadening, texture or thermal motion is included.

Largest 10 diffraction maxima, low angle first, 2θ = 15–90°:
2θ (°)	d_spacing	intensity
16.16	5.486	73
22.68	3.920	40
32.30	2.772	100
32.64	2.743	50
36.31	2.474	45
40.12	2.248	19
46.32	1.960	38
46.58	1.950	73
57.82	1.595	39
86.07	1.130	26

Atomic structure:
```
data_NbTeH2Au
_space_group_name_H-M_alt 'P 4/m m m'
_space_group_IT_number 123
_space_group_name_Hall '-P 4 2'
_cell_length_a 3.9201
_cell_length_b 3.9201
_cell_length_c 5.4863
_cell_angle_alpha 90.00
_cell_angle_beta 90.00
_cell_angle_gamma 90.00
loop_
_atom_site_label
_atom_site_type_symbol
_atom_site_fract_x
_atom_site_fract_y
_atom_site_fract_z
_atom_site_occupancy
Nb1 Nb 0.0000 0.0000 0.0000 1
Te1 Te 0.5000 0.5000 0.5000 1
H1 H 0.0000 0.5000 0.0000 1
Au1 Au 0.0000 0.0000 0.5000 1
```

=====

[11]
Starting from a cell relaxed with PBE, the powder diffraction line list of Nd2H2Au was calculated for Cu Kα, 1.54184 Å.
No peak broadening, texture or thermal motion is included.

Largest 10 diffraction maxima, low angle first, 2θ = 15–90°:
2θ (°)	d_spacing	intensity
31.51	2.840	100
33.66	2.662	47
41.78	2.162	8
42.31	2.136	15
48.35	1.883	17
54.69	1.678	15
58.86	1.569	34
65.78	1.420	8
66.16	1.412	8
80.71	1.191	8

Atomic structure:
```
data_Nd2H2Au
_space_group_name_H-M_alt 'I 4/m m m'
_space_group_IT_number 139
_space_group_name_Hall '-I 4 2'
_cell_length_a 3.7651
_cell_length_b 3.7651
_cell_length_c 12.9723
_cell_angle_alpha 90.00
_cell_angle_beta 90.00
_cell_angle_gamma 90.00
loop_
_atom_site_label
_atom_site_type_symbol
_atom_site_fract_x
_atom_site_fract_y
_atom_site_fract_z
_atom_site_occupancy
Nd1 Nd 0.0000 0.0000 0.1431 1
H1 H 0.0000 0.5000 0.2500 1
Au1 Au 0.0000 0.0000 0.5000 1
```

=====

[12]
Starting from a cell relaxed with PBE, the powder diffraction line list of Nd4HAu2 was calculated for Cu Kα, 1.54184 Å.
No peak broadening, texture or thermal motion is included.

Largest 10 diffraction maxima, low angle first, 2θ = 15–90°:
2θ (°)	d_spacing	intensity
26.24	3.396	34
28.68	3.113	93
34.33	2.612	52
35.07	2.559	100
37.45	2.401	83
51.71	1.768	33
51.88	1.762	24
54.00	1.698	29
62.29	1.491	21
66.04	1.415	34

Atomic structure:
```
data_Nd4HAu2
_space_group_name_H-M_alt 'I 4/m m m'
_space_group_IT_number 139
_space_group_name_Hall '-I 4 2'
_cell_length_a 4.8026
_cell_length_b 4.8026
_cell_length_c 15.5659
_cell_angle_alpha 90.00
_cell_angle_beta 90.00
_cell_angle_gamma 90.00
loop_
_atom_site_label
_atom_site_type_symbol
_atom_site_fract_x
_atom_site_fract_y
_atom_site_fract_z
_atom_site_occupancy
Nd1 Nd 0.0000 0.0000 0.1855 1
Nd2 Nd 0.0000 0.5000 0.0000 1
H1 H 0.0000 0.0000 0.0000 1
Au1 Au 0.0000 0.0000 0.3694 1
```

=====

[13]
Starting from a cell relaxed with PBE, the powder diffraction line list of NdH6Pd4Au was calculated for Cu Kα, 1.54184 Å.
No peak broadening, texture or thermal motion is included.

Largest 10 diffraction maxima, low angle first, 2θ = 15–90°:
2θ (°)	d_spacing	intensity
21.41	4.151	8
34.30	2.615	100
37.53	2.397	87
39.93	2.258	9
45.97	1.974	8
51.74	1.767	31
65.66	1.422	30
67.72	1.384	15
68.06	1.377	12
80.09	1.198	10

Atomic structure:
```
data_NdH6Pd4Au
_space_group_name_H-M_alt 'P 6/m m m'
_space_group_IT_number 191
_space_group_name_Hall '-P 6 2'
_cell_length_a 4.7930
_cell_length_b 4.7930
_cell_length_c 6.7333
_cell_angle_alpha 90.00
_cell_angle_beta 90.00
_cell_angle_gamma 120.00
loop_
_atom_site_label
_atom_site_type_symbol
_atom_site_fract_x
_atom_site_fract_y
_atom_site_fract_z
_atom_site_occupancy
Nd1 Nd 0.0000 0.0000 0.0000 1
H1 H 0.0000 0.5000 0.1451 1
Pd1 Pd 0.3333 0.6667 0.2997 1
Au1 Au 0.0000 0.0000 0.5000 1
```

=====

[14]
Starting from a cell relaxed with PBE, the powder diffraction line list of NpNi4H6Au was calculated for Cu Kα, 1.54184 Å.
No peak broadening, texture or thermal motion is included.

Largest 10 diffraction maxima, low angle first, 2θ = 15–90°:
2θ (°)	d_spacing	intensity
23.60	3.770	46
36.55	2.458	100
41.48	2.177	60
48.28	1.885	8
50.49	1.808	10
56.46	1.630	28
62.34	1.489	14
72.45	1.305	27
72.73	1.300	10
75.68	1.257	10

Atomic structure:
```
data_NpNi4H6Au
_space_group_name_H-M_alt 'P 6/m m m'
_space_group_IT_number 191
_space_group_name_Hall '-P 6 2'
_cell_length_a 4.3535
_cell_length_b 4.3535
_cell_length_c 6.4850
_cell_angle_alpha 90.00
_cell_angle_beta 90.00
_cell_angle_gamma 120.00
loop_
_atom_site_label
_atom_site_type_symbol
_atom_site_fract_x
_atom_site_fract_y
_atom_site_fract_z
_atom_site_occupancy
Np1 Np 0.0000 0.0000 0.0000 1
Ni1 Ni 0.3333 0.6667 0.3107 1
H1 H 0.0000 0.5000 0.1543 1
Au1 Au 0.0000 0.0000 0.5000 1
```

=====

[15]
Starting from a cell relaxed with PBE, the powder diffraction line list of NiHRu2Au was calculated for Cu Kα, 1.54184 Å.
No peak broadening, texture or thermal motion is included.

Largest 10 diffraction maxima, low angle first, 2θ = 15–90°:
2θ (°)	d_spacing	intensity
22.85	3.892	17
32.49	2.756	16
40.09	2.249	100
46.51	1.953	16
46.69	1.945	33
68.02	1.378	21
68.17	1.376	10
81.86	1.177	12
82.13	1.174	25
86.55	1.125	11

Atomic structure:
```
data_NiHRu2Au
_space_group_name_H-M_alt 'P 4/m m m'
_space_group_IT_number 123
_space_group_name_Hall '-P 4 2'
_cell_length_a 3.8910
_cell_length_b 3.8910
_cell_length_c 3.9054
_cell_angle_alpha 90.00
_cell_angle_beta 90.00
_cell_angle_gamma 90.00
loop_
_atom_site_label
_atom_site_type_symbol
_atom_site_fract_x
_atom_site_fract_y
_atom_site_fract_z
_atom_site_occupancy
Ni1 Ni 0.0000 0.0000 0.0000 1
H1 H 0.0000 0.0000 0.5000 1
Ru1 Ru 0.0000 0.5000 0.5000 1
Au1 Au 0.5000 0.5000 0.0000 1
```